# 1
Rb4CO4: calculated X-ray diffraction stick pattern (CuKα), based on a GGA-PBE-relaxed structure.
No peak broadening, texture or thermal motion is included.

Crystal structure
```
data_Rb4CO4
_cell_length_a 6.943
_cell_length_b 10.383
_cell_length_c 5.918
_cell_angle_alpha 90.00
_cell_angle_beta 106.98
_cell_angle_gamma 90.00
_space_group_name_H-M_alt 'C 1 m 1'
_space_group_IT_number 8
_space_group_name_Hall 'C -2y'
loop_
_atom_site_label
_atom_site_fract_x
_atom_site_fract_y
_atom_site_fract_z
Rb1 0.000 0.000 0.000
Rb2 0.037 0.500 0.202
Rb3 0.471 0.256 0.561
C1 0.331 0.000 0.702
O1 0.042 0.500 0.707
O2 0.208 0.000 0.461
O3 0.291 0.113 0.821
```

The 10 most intense peaks (2θ = 10–90°), sorted by position:
| h k l | 2θ/deg | Rel. int. |
| --- | --- | --- |
| 0 2 1 | 23.25 | 100 |
| 1 1 1 | 24.98 | 15 |
| 2 0 0 | 26.85 | 40 |
| 1 1 -2 | 31.73 | 16 |
| 2 2 -1 | 32.01 | 74 |
| 0 4 0 | 34.56 | 30 |
| 2 0 -2 | 35.13 | 29 |
| 1 1 2 | 39.04 | 17 |
| 2 2 1 | 39.29 | 25 |
| 2 4 0 | 44.30 | 29 |


# 2
Rb4CO4: calculated X-ray diffraction stick pattern (CuKα), based on a GGA-PBE-relaxed structure.
No peak broadening, texture or thermal motion is included.

Crystal structure
```
data_Rb4CO4
_cell_length_a 6.995
_cell_length_b 6.445
_cell_length_c 8.417
_cell_angle_alpha 90.00
_cell_angle_beta 94.08
_cell_angle_gamma 90.00
_space_group_name_H-M_alt 'P 1 21 1'
_space_group_IT_number 4
_space_group_name_Hall 'P 2yb'
loop_
_atom_site_label
_atom_site_fract_x
_atom_site_fract_y
_atom_site_fract_z
Rb1 0.035 0.000 0.414
Rb2 0.045 0.788 0.962
Rb3 0.384 0.501 0.382
Rb4 0.455 0.514 0.847
C1 0.210 0.083 0.742
O1 0.002 0.103 0.737
O2 0.256 0.873 0.701
O3 0.285 0.226 0.632
O4 0.290 0.127 0.901
```

The 10 most intense peaks (2θ = 10–90°), sorted by position:
| h k l | 2θ/deg | Rel. int. |
| --- | --- | --- |
| 1 0 2 | 25.53 | 68 |
| 1 1 -2 | 27.71 | 91 |
| 1 1 2 | 29.10 | 100 |
| 0 2 1 | 29.70 | 27 |
| 2 1 -1 | 30.39 | 34 |
| 1 2 0 | 30.56 | 18 |
| 2 0 -2 | 32.13 | 24 |
| 1 2 1 | 32.71 | 32 |
| 3 1 -2 | 45.46 | 21 |
| 2 1 4 | 54.49 | 24 |